The following is a theoretical PXRD pattern of ThCo2Si2. It was derived from a crystal structure in the Materials Project, relaxed with PBE, using Cu Kα (λ = 1.5418 Å).

Most intense lines, 2θ from 15° to 90°, by angle:
- 2θ = 23.88°, I = 83.8, hkl 1 0 1
- 2θ = 35.68°, I = 66.4, hkl 1 0 3
- 2θ = 36.56°, I = 100.0, hkl 1 1 2
- 2θ = 44.88°, I = 39.1, hkl 2 0 0
- 2θ = 51.47°, I = 23.0, hkl 2 1 1
- 2θ = 52.54°, I = 19.5, hkl 1 0 5
- 2θ = 58.61°, I = 32.3, hkl 2 1 3
- 2θ = 59.71°, I = 17.5, hkl 2 0 4
- 2θ = 66.74°, I = 19.3, hkl 1 1 6
- 2θ = 77.27°, I = 22.1, hkl 3 1 2

Crystal structure
```
data_ThCo2Si2
_space_group_name_H-M_alt 'I 4/m m m'
_space_group_IT_number 139
_space_group_name_Hall '-I 4 2'
_cell_length_a 4.0389
_cell_length_b 4.0389
_cell_length_c 9.6519
_cell_angle_alpha 90.00
_cell_angle_beta 90.00
_cell_angle_gamma 90.00
loop_
_atom_site_label
_atom_site_type_symbol
_atom_site_fract_x
_atom_site_fract_y
_atom_site_fract_z
Th1 Th 0.0000 0.0000 0.0000
Co1 Co 0.0000 0.5000 0.2500
Si1 Si 0.0000 0.0000 0.3666
```